Record 1
For Nd2Ag5Pd, the GGA-PBE geometry in Alexandria gives the simulated PXRD pattern in this record (Cu Kα).

Crystal structure
abc: 9.166 9.166 9.862
angles: 90.00 90.00 154.10
Fractional positions:
Nd 0.000 0.000 0.000
Nd 0.000 0.000 0.500
Nd 0.175 0.825 0.750
Nd 0.825 0.175 0.250
Ag 0.209 0.791 0.104
Ag 0.209 0.791 0.396
Ag 0.366 0.634 0.026
Ag 0.366 0.634 0.474
Ag 0.387 0.613 0.750
Ag 0.613 0.387 0.250
Ag 0.634 0.366 0.526
Ag 0.634 0.366 0.974
Ag 0.791 0.209 0.604
Ag 0.791 0.209 0.896
Pd 0.458 0.542 0.250
Pd 0.542 0.458 0.750

Principal peaks in the range 10 to 90 degrees two-theta, sorted by position:
| d [Å] | I (rel.) |
| --- | --- |
| 2.789 | 100 |
| 2.696 | 100 |
| 2.601 | 29 |
| 2.541 | 83 |
| 2.466 | 23 |
| 2.207 | 42 |
| 2.054 | 49 |
| 1.504 | 24 |
| 1.478 | 23 |
| 1.288 | 30 |

Record 2
For NdAgPd2, the GGA-PBE geometry in Alexandria gives the simulated PXRD pattern in this record (Cu Kα).

Crystal structure
abc: 4.419 4.419 3.989
angles: 90.00 90.00 90.00
Fractional positions:
Nd 0.000 0.000 0.000
Ag 0.500 0.500 0.000
Pd 0.000 0.500 0.500
Pd 0.500 0.000 0.500

Principal peaks in the range 10 to 90 degrees two-theta, sorted by position:
| d [Å] | I (rel.) |
| --- | --- |
| 4.419 | 1 |
| 2.460 | 100 |
| 2.209 | 36 |
| 1.994 | 13 |
| 1.562 | 12 |
| 1.480 | 20 |
| 1.319 | 27 |
| 1.230 | 11 |
| 1.223 | 11 |
| 1.105 | 4 |

Record 3
For Nd2AgPd9, the GGA-PBE geometry in Alexandria gives the simulated PXRD pattern in this record (Cu Kα).

Crystal structure
abc: 4.169 4.169 12.259
angles: 90.00 90.00 90.00
Fractional positions:
Nd 0.000 0.000 0.174
Nd 0.000 0.000 0.826
Ag 0.000 0.000 0.500
Pd 0.000 0.500 0.000
Pd 0.000 0.500 0.344
Pd 0.000 0.500 0.656
Pd 0.500 0.000 0.000
Pd 0.500 0.000 0.344
Pd 0.500 0.000 0.656
Pd 0.500 0.500 0.171
Pd 0.500 0.500 0.500
Pd 0.500 0.500 0.829

Principal peaks in the range 10 to 90 degrees two-theta, sorted by position:
| d [Å] | I (rel.) |
| --- | --- |
| 2.656 | 1 |
| 2.391 | 100 |
| 2.084 | 34 |
| 2.043 | 15 |
| 1.474 | 11 |
| 1.459 | 20 |
| 1.360 | 1 |
| 1.255 | 25 |
| 1.236 | 10 |
| 1.195 | 10 |

Record 4
For Nd3Si6AgPd2, the GGA-PBE geometry in Alexandria gives the simulated PXRD pattern in this record (Cu Kα).

Crystal structure
abc: 5.892 5.892 8.198
angles: 90.00 90.00 120.00
Fractional positions:
Nd 0.000 0.000 0.000
Nd 0.333 0.667 0.617
Nd 0.667 0.333 0.383
Si 0.196 0.393 0.276
Si 0.196 0.804 0.276
Si 0.393 0.196 0.724
Si 0.607 0.804 0.276
Si 0.804 0.196 0.724
Si 0.804 0.607 0.724
Ag 0.000 0.000 0.500
Pd 0.333 0.667 0.023
Pd 0.667 0.333 0.977

Principal peaks in the range 10 to 90 degrees two-theta, sorted by position:
| d [Å] | I (rel.) |
| --- | --- |
| 3.196 | 47 |
| 2.946 | 100 |
| 2.436 | 16 |
| 2.392 | 60 |
| 2.166 | 26 |
| 2.004 | 19 |
| 1.745 | 15 |
| 1.701 | 18 |
| 1.571 | 18 |
| 1.473 | 17 |

Record 5
For Nd2Ag2SnPd5, the GGA-PBE geometry in Alexandria gives the simulated PXRD pattern in this record (Cu Kα).

Crystal structure
abc: 10.027 10.027 3.962
angles: 90.00 90.00 90.00
Fractional positions:
Nd 0.171 0.329 0.000
Nd 0.329 0.829 0.000
Nd 0.671 0.171 0.000
Nd 0.829 0.671 0.000
Ag 0.127 0.627 0.000
Ag 0.373 0.127 0.000
Ag 0.627 0.873 0.000
Ag 0.873 0.373 0.000
Sn 0.000 0.000 0.000
Sn 0.500 0.500 0.000
Pd 0.000 0.500 0.500
Pd 0.054 0.801 0.500
Pd 0.199 0.054 0.500
Pd 0.301 0.554 0.500
Pd 0.446 0.301 0.500
Pd 0.500 0.000 0.500
Pd 0.554 0.699 0.500
Pd 0.699 0.446 0.500
Pd 0.801 0.946 0.500
Pd 0.946 0.199 0.500

Principal peaks in the range 10 to 90 degrees two-theta, sorted by position:
| d [Å] | I (rel.) |
| --- | --- |
| 2.642 | 22 |
| 2.476 | 100 |
| 2.432 | 31 |
| 2.363 | 20 |
| 2.276 | 27 |
| 2.242 | 10 |
| 2.118 | 16 |
| 1.981 | 24 |
| 1.536 | 15 |
| 1.219 | 10 |

Record 6
For NdTmAgPd, the GGA-PBE geometry in Alexandria gives the simulated PXRD pattern in this record (Cu Kα).

Crystal structure
abc: 5.105 5.105 5.105
angles: 60.00 60.00 60.00
Fractional positions:
Nd 0.000 0.000 0.000
Tm 0.500 0.500 0.500
Ag 0.750 0.750 0.750
Pd 0.250 0.250 0.250

Principal peaks in the range 10 to 90 degrees two-theta, sorted by position:
| d [Å] | I (rel.) |
| --- | --- |
| 3.610 | 3 |
| 2.552 | 100 |
| 2.084 | 1 |
| 1.805 | 18 |
| 1.614 | 2 |
| 1.474 | 36 |
| 1.276 | 11 |
| 1.203 | 1 |
| 1.141 | 16 |